[1]
The following is a simulated XRD peak list of FeCu3. It was derived from a GGA-PBE-relaxed structure, using copper Kα.
Intensities are scaled so that the largest is 100.

Crystal structure
```
FeCu3
1.0
8.538 0.000 0.000
0.000 2.519 0.000
-0.674 0.000 4.449
Fe Cu
2 6
direct
0.000 0.000 0.000
0.500 0.500 0.000
0.000 0.500 0.500
0.250 0.000 0.751
0.250 0.500 0.249
0.500 0.000 0.500
0.750 0.000 0.249
0.750 0.500 0.751
```

Main lines, by intensity (2θ = 15–90°):
2θ = 43.40°, intensity 100, (1 1 1)
2θ = 50.88°, intensity 61, (3 1 -1)
2θ = 42.85°, intensity 52, (4 0 0)
2θ = 43.03°, intensity 51, (2 0 -2)
2θ = 49.06°, intensity 34, (2 0 2)
2θ = 73.24°, intensity 19, (5 1 1)
2θ = 73.49°, intensity 18, (1 1 -3)
2θ = 87.88°, intensity 11, (3 1 3)
2θ = 89.90°, intensity 11, (7 1 -1)
2θ = 74.15°, intensity 9, (6 0 -2)

---

[2]
The following is a simulated XRD peak list of FeCu3. It was derived from a GGA-PBE-relaxed structure, using copper Kα.
Intensities are scaled so that the largest is 100.

Crystal structure
```
FeCu3
1.0
4.332 0.000 0.000
0.000 4.332 0.000
0.000 0.000 2.580
Fe Cu
1 3
direct
0.000 0.000 0.000
0.000 0.500 0.500
0.500 0.000 0.500
0.500 0.500 0.000
```

Main lines, by intensity (2θ = 15–90°):
2θ = 46.00°, intensity 100, (1 1 1)
2θ = 41.70°, intensity 67, (2 0 0)
2θ = 79.17°, intensity 35, (3 1 1)
2θ = 60.45°, intensity 21, (2 2 0)
2θ = 88.16°, intensity 13, (2 0 2)
2θ = 73.41°, intensity 6, (0 0 2)

---

[3]
The following is a simulated XRD peak list of FeCu2. It was derived from a GGA-PBE-relaxed structure, using copper Kα.
Intensities are scaled so that the largest is 100.

Crystal structure
```
FeCu2
1.0
9.636 0.000 0.000
0.000 2.508 0.000
-1.703 0.000 5.940
Fe Cu
4 8
direct
0.000 0.000 0.000
0.162 0.500 0.324
0.500 0.500 0.000
0.662 0.000 0.324
0.107 0.500 0.713
0.274 0.000 0.045
0.332 0.000 0.662
0.439 0.500 0.380
0.607 0.000 0.713
0.774 0.500 0.045
0.832 0.500 0.662
0.939 0.000 0.380
```

Main lines, by intensity (2θ = 15–90°):
2θ = 46.66°, intensity 100, (3 1 0)
2θ = 45.82°, intensity 57, (0 0 3)
2θ = 42.36°, intensity 46, (4 0 -2)
2θ = 41.27°, intensity 27, (1 1 1)
2θ = 80.55°, intensity 17, (7 1 -2)
2θ = 60.63°, intensity 16, (3 1 -3)
2θ = 73.98°, intensity 15, (3 1 3)
2θ = 40.34°, intensity 11, (2 0 2)
2θ = 79.94°, intensity 10, (4 0 -5)
2θ = 89.13°, intensity 9, (7 1 1)